Theoretical powder diffractogram
Compound: EuIn6Ni7
Radiation: Cu Kα X-rays
Structure: a structure optimized by DFT (GGA-PBE)
Lines closer than 0.1° are merged.

Structural model:
```
data_EuIn6Ni7
_space_group_name_H-M_alt 'I b a m'
_space_group_IT_number 72
_space_group_name_Hall '-I 2 2c'
_cell_length_a 8.113
_cell_length_b 9.348
_cell_length_c 12.536
_cell_angle_alpha 90.00
_cell_angle_beta 90.00
_cell_angle_gamma 90.00
loop_
_atom_site_label
_atom_site_type_symbol
_atom_site_fract_x
_atom_site_fract_y
_atom_site_fract_z
Eu1 Eu 0.000 0.000 0.250
In1 In 0.176 0.308 0.140
In2 In 0.177 0.045 0.000
Ni1 Ni 0.000 0.500 0.000
Ni2 Ni 0.074 0.240 0.500
Ni3 Ni 0.122 0.412 0.329
```

Top 6 peaks for 10 to 90 degrees two-theta, low angle first:
| 2θ/deg | Rel. int. |
| --- | --- |
| 32.08 | 54.4 |
| 32.53 | 52.4 |
| 34.46 | 72.8 |
| 37.48 | 100.0 |
| 40.82 | 74.5 |
| 42.50 | 97.9 |

***

Theoretical powder diffractogram
Compound: Eu2In3Ni
Radiation: Cu Kα X-rays
Structure: a structure optimized by DFT (GGA-PBE)
Lines closer than 0.1° are merged.

Structural model:
```
data_Eu2In3Ni
_space_group_name_H-M_alt 'P m m 2'
_space_group_IT_number 25
_cell_length_a 3.849
_cell_length_b 4.827
_cell_length_c 8.554
_cell_angle_alpha 90.00
_cell_angle_beta 90.00
_cell_angle_gamma 90.00
loop_
_space_group_symop_operation_xyz
'x,y,z'
'-x,-y,z'
'-x,y,z'
'x,-y,z'
loop_
_atom_site_label
_atom_site_type_symbol
_atom_site_fract_x
_atom_site_fract_y
_atom_site_fract_z
Eu1 Eu 0.000 0.000 0.000
Eu2 Eu 0.000 0.500 0.462
In1 In 0.500 0.000 0.622
In2 In 0.500 0.500 0.162
In3 In 0.500 0.500 0.813
Ni1 Ni 0.500 0.000 0.306
```

Top 6 peaks for 10 to 90 degrees two-theta, low angle first:
| 2θ/deg | Rel. int. |
| --- | --- |
| 31.26 | 47.4 |
| 31.52 | 100.0 |
| 36.60 | 60.4 |
| 37.26 | 31.2 |
| 49.41 | 26.2 |
| 61.20 | 25.5 |

***

Theoretical powder diffractogram
Compound: EuIn2Ni
Radiation: Cu Kα X-rays
Structure: a structure optimized by DFT (GGA-PBE)
Lines closer than 0.1° are merged.

Structural model:
```
data_EuIn2Ni
_space_group_name_H-M_alt 'C m c m'
_space_group_IT_number 63
_space_group_name_Hall '-C 2c 2'
_cell_length_a 4.402
_cell_length_b 10.735
_cell_length_c 7.794
_cell_angle_alpha 90.00
_cell_angle_beta 90.00
_cell_angle_gamma 90.00
loop_
_atom_site_label
_atom_site_type_symbol
_atom_site_fract_x
_atom_site_fract_y
_atom_site_fract_z
Eu1 Eu 0.000 0.057 0.250
In1 In 0.000 0.346 0.053
Ni1 Ni 0.000 0.221 0.750
```

Top 6 peaks for 10 to 90 degrees two-theta, low angle first:
| 2θ/deg | Rel. int. |
| --- | --- |
| 31.78 | 100.0 |
| 32.24 | 50.4 |
| 34.28 | 53.3 |
| 35.37 | 33.6 |
| 38.50 | 30.3 |
| 41.01 | 37.6 |

***

Theoretical powder diffractogram
Compound: EuInNi5
Radiation: Cu Kα X-rays
Structure: a structure optimized by DFT (GGA-PBE)
Lines closer than 0.1° are merged.

Structural model:
```
data_EuInNi5
_space_group_name_H-M_alt 'R -3 m'
_space_group_IT_number 166
_space_group_name_Hall '-R 3 2"'
_cell_length_a 4.8918
_cell_length_b 4.8918
_cell_length_c 29.6890
_cell_angle_alpha 90.00
_cell_angle_beta 90.00
_cell_angle_gamma 120.00
loop_
_atom_site_label
_atom_site_type_symbol
_atom_site_fract_x
_atom_site_fract_y
_atom_site_fract_z
Eu1 Eu 0.0000 0.0000 0.0000
Eu2 Eu 0.0000 0.0000 0.5000
In1 In 0.0000 0.0000 0.1106
Ni1 Ni 0.0000 0.0000 0.1990
Ni2 Ni 0.0000 0.0000 0.3338
Ni3 Ni 0.0016 0.5008 0.0677
```

Top 6 peaks for 10 to 90 degrees two-theta, low angle first:
| 2θ/deg | Rel. int. |
| --- | --- |
| 32.06 | 60.7 |
| 36.74 | 100.0 |
| 36.97 | 81.7 |
| 41.17 | 70.9 |
| 42.80 | 37.4 |
| 46.20 | 56.5 |

***

Theoretical powder diffractogram
Compound: EuInO3
Radiation: Cu Kα X-rays
Structure: a structure optimized by DFT (GGA-PBE)
Lines closer than 0.1° are merged.

Structural model:
```
data_EuInO3
_space_group_name_H-M_alt 'P 63 c m'
_space_group_IT_number 185
_space_group_name_Hall 'P 6c -2'
_cell_length_a 6.4828
_cell_length_b 6.4828
_cell_length_c 12.4595
_cell_angle_alpha 90.00
_cell_angle_beta 90.00
_cell_angle_gamma 120.00
loop_
_atom_site_label
_atom_site_type_symbol
_atom_site_fract_x
_atom_site_fract_y
_atom_site_fract_z
Eu1 Eu 0.0000 0.0000 0.0000
Eu2 Eu 0.3333 0.6667 0.4759
In1 In 0.0000 0.3331 0.2353
O1 O 0.0000 0.0000 0.2118
O2 O 0.0000 0.3154 0.4060
O3 O 0.0000 0.3514 0.0659
O4 O 0.3333 0.6667 0.2542
```

Top 6 peaks for 10 to 90 degrees two-theta, low angle first:
| 2θ/deg | Rel. int. |
| --- | --- |
| 28.45 | 50.2 |
| 28.66 | 42.4 |
| 31.10 | 100.0 |
| 48.65 | 41.2 |
| 52.32 | 27.5 |
| 57.45 | 35.4 |

***

Theoretical powder diffractogram
Compound: Eu3InO
Radiation: Cu Kα X-rays
Structure: a structure optimized by DFT (GGA-PBE)
Lines closer than 0.1° are merged.

Structural model:
```
data_Eu3InO
_space_group_name_H-M_alt 'P m -3 m'
_space_group_IT_number 221
_space_group_name_Hall '-P 4 2 3'
_cell_length_a 4.961
_cell_length_b 4.961
_cell_length_c 4.961
_cell_angle_alpha 90.00
_cell_angle_beta 90.00
_cell_angle_gamma 90.00
loop_
_atom_site_label
_atom_site_type_symbol
_atom_site_fract_x
_atom_site_fract_y
_atom_site_fract_z
Eu1 Eu 0.000 0.000 0.500
In1 In 0.500 0.500 0.500
O1 O 0.000 0.000 0.000
```

Top 6 peaks for 10 to 90 degrees two-theta, low angle first:
| 2θ/deg | Rel. int. |
| --- | --- |
| 31.23 | 100.0 |
| 36.22 | 56.8 |
| 52.15 | 39.2 |
| 62.05 | 42.2 |
| 85.28 | 17.9 |
| 88.05 | 18.1 |

***

Theoretical powder diffractogram
Compound: EuInO3
Radiation: Cu Kα X-rays
Structure: a structure optimized by DFT (GGA-PBE)
Lines closer than 0.1° are merged.

Structural model:
```
data_EuInO3
_space_group_name_H-M_alt 'P n m a'
_space_group_IT_number 62
_cell_length_a 5.997
_cell_length_b 8.163
_cell_length_c 5.712
_cell_angle_alpha 90.00
_cell_angle_beta 90.00
_cell_angle_gamma 90.00
loop_
_space_group_symop_operation_xyz
'x,y,z'
'-x,-y,-z'
'-x+1/2,-y,z+1/2'
'x+1/2,y,-z+1/2'
'x+1/2,-y+1/2,-z+1/2'
'-x+1/2,y+1/2,z+1/2'
'-x,y+1/2,-z'
'x,-y+1/2,z'
loop_
_atom_site_label
_atom_site_type_symbol
_atom_site_fract_x
_atom_site_fract_y
_atom_site_fract_z
Eu1 Eu 0.062 0.250 0.015
In1 In 0.000 0.000 0.500
O1 O 0.061 0.750 0.371
O2 O 0.188 0.564 0.816
```

Top 6 peaks for 10 to 90 degrees two-theta, low angle first:
| 2θ/deg | Rel. int. |
| --- | --- |
| 29.80 | 21.0 |
| 30.78 | 100.0 |
| 31.32 | 23.8 |
| 43.77 | 18.2 |
| 44.39 | 12.3 |
| 55.38 | 34.1 |

***

Theoretical powder diffractogram
Compound: EuInO3
Radiation: Cu Kα X-rays
Structure: a structure optimized by DFT (GGA-PBE)
Lines closer than 0.1° are merged.

Structural model:
```
data_EuInO3
_space_group_name_H-M_alt 'P m -3 m'
_space_group_IT_number 221
_space_group_name_Hall '-P 4 2 3'
_cell_length_a 4.191
_cell_length_b 4.191
_cell_length_c 4.191
_cell_angle_alpha 90.00
_cell_angle_beta 90.00
_cell_angle_gamma 90.00
loop_
_atom_site_label
_atom_site_type_symbol
_atom_site_fract_x
_atom_site_fract_y
_atom_site_fract_z
Eu1 Eu 0.000 0.000 0.000
In1 In 0.500 0.500 0.500
O1 O 0.000 0.500 0.500
```

Top 6 peaks for 10 to 90 degrees two-theta, low angle first:
| 2θ/deg | Rel. int. |
| --- | --- |
| 30.15 | 100.0 |
| 43.17 | 29.3 |
| 53.56 | 40.2 |
| 62.70 | 18.1 |
| 71.13 | 17.3 |
| 86.98 | 21.1 |

***

> Which formula does entry 4 have?

EuInNi5